This entry pairs a crystal structure of Na2BH4N with its simulated XRD peak list. Radiation: Cu Kα (weighted mean of Kα1 and Kα2). Structure: a GGA-PBE-relaxed structure.
Peak positions follow from Bragg's law for the DFT cell and can differ from measured ones.

Most intense lines, 2θ = 10–90°, in order of rising 2θ:
- hkl 0 0 1, 2θ 20.96, d 4.238, intensity 100
- hkl 1 1 0, 2θ 25.70, d 3.466, intensity 24
- hkl 1 0 1, 2θ 27.83, d 3.206, intensity 50
- hkl 1 1 1, 2θ 33.39, d 2.683, intensity 95
- hkl 2 0 0, 2θ 36.66, d 2.451, intensity 86
- hkl 0 0 2, 2θ 42.62, d 2.121, intensity 96
- hkl 2 2 0, 2θ 52.82, d 1.733, intensity 27
- hkl 2 0 2, 2θ 57.47, d 1.604, intensity 65
- hkl 3 1 1, 2θ 63.95, d 1.456, intensity 24
- hkl 2 2 2, 2θ 70.15, d 1.342, intensity 19

Cell and atoms:
Cell: 4.902 4.902 4.238 Å, 90.00 90.00 90.00°
Space group P-42m (No. 111)
Unique sites:
Na1 0.000 0.500 0.000 x2
B1 0.000 0.000 0.500 x1
H1 0.147 0.147 0.663 x4
N1 0.500 0.500 0.000 x1